K2VOF4: computed powder diffractogram (Cu Kα (λ = 1.5418 Å)), based on a structure optimized by DFT (GGA+U).
Kinematic intensities with the Lorentz-polarization factor, no thermal factor.

Largest 10 diffraction maxima, low angle first, 2θ from 5° to 70°:
(hkl), 2theta, d/Å, I/Imax
1 1 1, 20.79, 4.273, 40
1 0 3, 27.61, 3.231, 96
0 2 2, 28.17, 3.168, 100
2 0 0, 30.94, 2.890, 50
0 2 4, 38.97, 2.311, 42
2 2 1, 40.03, 2.252, 30
0 1 5, 40.39, 2.233, 29
2 2 2, 42.30, 2.137, 58
2 2 3, 45.89, 1.978, 38
2 4 3, 63.50, 1.465, 26

Cell and atoms:
```
K2VOF4
1.0
5.780 0.000 0.000
0.000 7.556 0.000
0.000 0.000 11.688
K V O F
8 4 4 16
Direct
0.005 0.239 0.274
0.006 0.414 0.912
0.494 0.586 0.412
0.495 0.761 0.774
0.505 0.261 0.726
0.506 0.086 0.088
0.994 0.914 0.588
0.995 0.739 0.226
0.016 0.931 0.935
0.484 0.069 0.435
0.516 0.569 0.065
0.984 0.431 0.565
0.237 0.051 0.889
0.263 0.949 0.389
0.737 0.449 0.111
0.763 0.551 0.611
0.013 0.523 0.408
0.036 0.281 0.696
0.197 0.731 0.001
0.237 0.584 0.611
0.263 0.416 0.111
0.303 0.269 0.501
0.464 0.719 0.196
0.487 0.477 0.908
0.513 0.977 0.592
0.536 0.219 0.304
0.697 0.769 0.999
0.737 0.916 0.389
0.763 0.084 0.889
0.803 0.231 0.499
0.964 0.781 0.804
0.987 0.023 0.092
```